[1]
Tm2ThZn3: calculated XRD peak list (copper Kα), based on a structure optimized by DFT (PBE).
Kinematic intensities with the Lorentz-polarization factor, no thermal factor.

Structural model:
a = 3.5340 Å, b = 3.5340 Å, c = 10.9079 Å
α = 90.00°, β = 90.00°, γ = 90.00°
Fractional coordinates of all 6 atoms:
Tm1 0.0000 0.0000 0.1605
Tm2 0.0000 0.0000 0.8395
Th1 0.0000 0.0000 0.5000
Zn1 0.5000 0.5000 0.0000
Zn2 0.5000 0.5000 0.3148
Zn3 0.5000 0.5000 0.6852

Principal peaks in the range 2θ = 10–80°, sorted by position:
d 3.636, intensity 13; d 3.534, intensity 24; d 2.534, intensity 100; d 2.499, intensity 49; d 2.059, intensity 12; d 1.767, intensity 17; d 1.470, intensity 17; d 1.449, intensity 35

---

[2]
TbCeDy5Er2: calculated XRD peak list (copper Kα), based on a structure optimized by DFT (PBE).
Kinematic intensities with the Lorentz-polarization factor, no thermal factor.

Structural model:
a = 11.0738 Å, b = 11.0738 Å, c = 9.5285 Å
α = 90.00°, β = 90.00°, γ = 150.32°
Fractional coordinates of all 18 atoms:
Tb1 0.0969 0.9031 0.5000
Tb2 0.9031 0.0969 0.0000
Ce1 0.3086 0.6914 0.0952
Ce2 0.6914 0.3086 0.5952
Dy1 0.0292 0.9708 0.8210
Dy2 0.1059 0.8941 0.1173
Dy3 0.1944 0.8056 0.7870
Dy4 0.2327 0.7673 0.4050
Dy5 0.4865 0.5135 0.0865
Dy6 0.5135 0.4865 0.5865
Dy7 0.7673 0.2327 0.9050
Dy8 0.8056 0.1944 0.2870
Dy9 0.8941 0.1059 0.6173
Dy10 0.9708 0.0292 0.3210
Er1 0.3666 0.6334 0.7812
Er2 0.3864 0.6136 0.3965
Er3 0.6136 0.3864 0.8965
Er4 0.6334 0.3666 0.2812

Principal peaks in the range 2θ = 10–80°, sorted by position:
d 3.342, intensity 24; d 2.836, intensity 60; d 2.777, intensity 100; d 2.748, intensity 62; d 2.591, intensity 34; d 2.162, intensity 15; d 1.625, intensity 25; d 1.446, intensity 15

---

[3]
Sm4SnSe2S: calculated XRD peak list (copper Kα), based on a structure optimized by DFT (PBE).
Kinematic intensities with the Lorentz-polarization factor, no thermal factor.

Structural model:
a = 7.3100 Å, b = 4.2214 Å, c = 7.3359 Å
α = 90.00°, β = 109.54°, γ = 90.00°
Fractional coordinates of all 8 atoms:
Sm1 0.2367 0.0000 0.2415
Sm2 0.2387 0.5000 0.7473
Sm3 0.7613 0.5000 0.2527
Sm4 0.7633 0.0000 0.7585
Sn1 0.5000 0.0000 0.0000
Se1 0.0000 0.0000 0.5000
Se2 0.5000 0.5000 0.5000
S1 0.0000 0.5000 0.0000

Principal peaks in the range 2θ = 10–80°, sorted by position:
d 3.450, intensity 18; d 2.988, intensity 100; d 2.115, intensity 37; d 2.110, intensity 37; d 1.724, intensity 20; d 1.338, intensity 11; d 1.335, intensity 22; d 1.219, intensity 10

---

[4]
Rb2TlHgBr6: calculated XRD peak list (copper Kα), based on a structure optimized by DFT (PBE).
Kinematic intensities with the Lorentz-polarization factor, no thermal factor.

Structural model:
a = 8.0163 Å, b = 8.0191 Å, c = 8.0194 Å
α = 60.69°, β = 60.71°, γ = 60.70°
Fractional coordinates of all 10 atoms:
Rb1 0.0000 0.0000 0.0000
Rb2 0.4959 0.4967 0.4954
Tl1 0.7429 0.7434 0.7428
Hg1 0.2430 0.2435 0.2428
Br1 0.0563 0.4862 0.9380
Br2 0.4287 0.9962 0.5467
Br3 0.4852 0.9391 0.0554
Br4 0.5470 0.4292 0.9968
Br5 0.9381 0.0566 0.4846
Br6 0.9962 0.5470 0.4292

Principal peaks in the range 2θ = 10–80°, sorted by position:
d 5.699, intensity 75; d 4.051, intensity 38; d 4.009, intensity 45; d 2.850, intensity 100; d 2.538, intensity 26; d 2.331, intensity 26; d 2.026, intensity 27; d 2.004, intensity 36

---

[5]
TbPm12Pr3: calculated XRD peak list (copper Kα), based on a structure optimized by DFT (PBE).
Kinematic intensities with the Lorentz-polarization factor, no thermal factor.

Structural model:
a = 5.1693 Å, b = 5.1693 Å, c = 20.6667 Å
α = 90.00°, β = 90.00°, γ = 90.00°
Fractional coordinates of all 16 atoms:
Tb1 0.0000 0.0000 0.0000
Pm1 0.0000 0.5000 0.1233
Pm2 0.0000 0.5000 0.3745
Pm3 0.0000 0.5000 0.6255
Pm4 0.0000 0.5000 0.8767
Pm5 0.5000 0.0000 0.1233
Pm6 0.5000 0.0000 0.3745
Pm7 0.5000 0.0000 0.6255
Pm8 0.5000 0.0000 0.8767
Pm9 0.5000 0.5000 0.0000
Pm10 0.5000 0.5000 0.2485
Pm11 0.5000 0.5000 0.5000
Pm12 0.5000 0.5000 0.7515
Pr1 0.0000 0.0000 0.2489
Pr2 0.0000 0.0000 0.5000
Pr3 0.0000 0.0000 0.7511

Principal peaks in the range 2θ = 10–80°, sorted by position:
d 2.984, intensity 100; d 2.584, intensity 51; d 1.827, intensity 36; d 1.558, intensity 43; d 1.492, intensity 12; d 1.292, intensity 6

---

[6]
UAg3Se4: calculated XRD peak list (copper Kα), based on a structure optimized by DFT (PBE).
Kinematic intensities with the Lorentz-polarization factor, no thermal factor.

Structural model:
a = 5.7003 Å, b = 11.2454 Å, c = 5.6998 Å
α = 90.00°, β = 90.00°, γ = 90.00°
Fractional coordinates of all 16 atoms:
U1 0.2500 0.2500 0.2483
U2 0.7500 0.7500 0.7517
Ag1 0.2500 0.0000 0.7517
Ag2 0.2500 0.5000 0.7517
Ag3 0.2500 0.7500 0.2551
Ag4 0.7500 0.0000 0.2483
Ag5 0.7500 0.2500 0.7449
Ag6 0.7500 0.5000 0.2483
Se1 0.2500 0.0052 0.2509
Se2 0.2500 0.2500 0.7483
Se3 0.2500 0.4948 0.2509
Se4 0.2500 0.7500 0.7537
Se5 0.7500 0.2500 0.2463
Se6 0.7500 0.5052 0.7491
Se7 0.7500 0.7500 0.2517
Se8 0.7500 0.9948 0.7491

Principal peaks in the range 2θ = 10–80°, sorted by position:
d 3.276, intensity 22; d 2.850, intensity 100; d 2.811, intensity 48; d 2.015, intensity 36; d 2.001, intensity 71; d 1.638, intensity 37; d 1.275, intensity 16; d 1.271, intensity 16

---

[7]
CsTmPd2F8: calculated XRD peak list (copper Kα), based on a structure optimized by DFT (PBE).
Kinematic intensities with the Lorentz-polarization factor, no thermal factor.

Structural model:
a = 5.9186 Å, b = 5.9186 Å, c = 8.4278 Å
α = 90.00°, β = 90.00°, γ = 120.00°
Fractional coordinates of all 12 atoms:
Cs1 0.0000 0.0000 0.0000
Tm1 0.0000 0.0000 0.5000
Pd1 0.3333 0.6667 0.7223
Pd2 0.6667 0.3333 0.2777
F1 0.0057 0.2910 0.6538
F2 0.2853 0.9943 0.6538
F3 0.2910 0.2853 0.3462
F4 0.3333 0.6667 0.9608
F5 0.6667 0.3333 0.0392
F6 0.7090 0.7147 0.6538
F7 0.7147 0.0057 0.3462
F8 0.9943 0.7090 0.3462

Principal peaks in the range 2θ = 10–80°, sorted by position:
d 5.126, intensity 38; d 4.379, intensity 61; d 3.255, intensity 100; d 2.959, intensity 68; d 2.190, intensity 37; d 1.760, intensity 37; d 1.716, intensity 30; d 1.709, intensity 21

---

[8]
Pu6ScS8: calculated XRD peak list (copper Kα), based on a structure optimized by DFT (PBE).
Kinematic intensities with the Lorentz-polarization factor, no thermal factor.

Structural model:
a = 7.8847 Å, b = 7.8847 Å, c = 7.8847 Å
α = 60.00°, β = 60.00°, γ = 60.00°
Fractional coordinates of all 15 atoms:
Pu1 0.0000 0.0000 0.5000
Pu2 0.0000 0.5000 0.0000
Pu3 0.0000 0.5000 0.5000
Pu4 0.5000 0.0000 0.0000
Pu5 0.5000 0.0000 0.5000
Pu6 0.5000 0.5000 0.0000
Sc1 0.0000 0.0000 0.0000
S1 0.2387 0.2387 0.7613
S2 0.2387 0.7613 0.2387
S3 0.2387 0.7613 0.7613
S4 0.2500 0.2500 0.2500
S5 0.7500 0.7500 0.7500
S6 0.7613 0.2387 0.2387
S7 0.7613 0.2387 0.7613
S8 0.7613 0.7613 0.2387

Principal peaks in the range 2θ = 10–80°, sorted by position:
d 5.575, intensity 32; d 3.942, intensity 29; d 3.219, intensity 91; d 2.788, intensity 100; d 1.971, intensity 73; d 1.681, intensity 46; d 1.609, intensity 26; d 1.247, intensity 33

---

[9]
Th5Mn2Te2: calculated XRD peak list (copper Kα), based on a structure optimized by DFT (PBE).
Kinematic intensities with the Lorentz-polarization factor, no thermal factor.

Structural model:
a = 8.9374 Å, b = 8.9374 Å, c = 8.1285 Å
α = 90.00°, β = 90.00°, γ = 50.26°
Fractional coordinates of all 18 atoms:
Th1 0.0000 0.0000 0.0000
Th2 0.0389 0.7402 0.6658
Th3 0.2402 0.5389 0.1658
Th4 0.2598 0.9611 0.6658
Th5 0.4611 0.7598 0.1658
Th6 0.5000 0.5000 0.5000
Th7 0.5389 0.2402 0.8342
Th8 0.7402 0.0389 0.3342
Th9 0.7598 0.4611 0.8342
Th10 0.9611 0.2598 0.3342
Mn1 0.1515 0.8485 0.3743
Mn2 0.3485 0.6515 0.8743
Mn3 0.6515 0.3485 0.1257
Mn4 0.8485 0.1515 0.6257
Te1 0.2067 0.2067 0.0000
Te2 0.2933 0.2933 0.5000
Te3 0.7067 0.7067 0.5000
Te4 0.7933 0.7933 0.0000

Principal peaks in the range 2θ = 10–80°, sorted by position:
d 3.439, intensity 76; d 2.796, intensity 92; d 2.771, intensity 67; d 2.620, intensity 100; d 2.521, intensity 85; d 2.402, intensity 63; d 2.389, intensity 64; d 1.606, intensity 69

---

[10]
BeZnCuPd: calculated XRD peak list (copper Kα), based on a structure optimized by DFT (PBE).
Kinematic intensities with the Lorentz-polarization factor, no thermal factor.

Structural model:
a = 2.7825 Å, b = 2.7825 Å, c = 6.3481 Å
α = 90.00°, β = 90.00°, γ = 90.00°
Fractional coordinates of all 4 atoms:
Be1 0.0000 0.0000 0.0000
Zn1 0.0000 0.0000 0.5140
Cu1 0.5000 0.5000 0.7871
Pd1 0.5000 0.5000 0.2168

Principal peaks in the range 2θ = 10–80°, sorted by position:
d 6.348, intensity 13; d 2.782, intensity 20; d 2.548, intensity 41; d 2.116, intensity 15; d 2.092, intensity 100; d 1.968, intensity 48; d 1.441, intensity 16; d 1.391, intensity 15

---

[11]
Zr2SiTe2: calculated XRD peak list (copper Kα), based on a structure optimized by DFT (PBE).
Kinematic intensities with the Lorentz-polarization factor, no thermal factor.

Structural model:
a = 3.0172 Å, b = 3.0172 Å, c = 15.6260 Å
α = 90.00°, β = 90.00°, γ = 90.00°
Fractional coordinates of all 5 atoms:
Zr1 0.0000 0.0000 0.1718
Zr2 0.0000 0.0000 0.8282
Si1 0.0000 0.0000 0.0000
Te1 0.0000 0.0000 0.3609
Te2 0.0000 0.0000 0.6391

Principal peaks in the range 2θ = 10–80°, sorted by position:
d 7.813, intensity 30; d 3.906, intensity 34; d 3.017, intensity 100; d 2.605, intensity 20; d 2.388, intensity 37; d 2.171, intensity 19; d 2.133, intensity 37; d 1.972, intensity 32

---

[12]
AcAgPb: calculated XRD peak list (copper Kα), based on a structure optimized by DFT (PBE).
Kinematic intensities with the Lorentz-polarization factor, no thermal factor.

Structural model:
a = 4.9813 Å, b = 4.9813 Å, c = 8.5267 Å
α = 90.00°, β = 90.00°, γ = 120.00°
Fractional coordinates of all 6 atoms:
Ac1 0.0000 0.0000 0.0000
Ac2 0.0000 0.0000 0.5000
Ag1 0.3333 0.6667 0.2500
Ag2 0.6667 0.3333 0.7500
Pb1 0.3333 0.6667 0.7500
Pb2 0.6667 0.3333 0.2500

Principal peaks in the range 2θ = 10–80°, sorted by position:
d 3.032, intensity 100; d 2.491, intensity 59; d 2.132, intensity 13; d 1.925, intensity 28; d 1.620, intensity 32; d 1.523, intensity 26; d 1.438, intensity 11; d 1.350, intensity 9

---

[13]
Mg3Au: calculated XRD peak list (copper Kα), based on a structure optimized by DFT (PBE).
Kinematic intensities with the Lorentz-polarization factor, no thermal factor.

Structural model:
a = 7.6343 Å, b = 8.3712 Å, c = 5.3011 Å
α = 90.00°, β = 90.00°, γ = 90.00°
Fractional coordinates of all 16 atoms:
Mg1 0.0209 0.2500 0.0917
Mg2 0.1699 0.0596 0.6117
Mg3 0.1699 0.4404 0.6117
Mg4 0.3301 0.5596 0.1117
Mg5 0.3301 0.9404 0.1117
Mg6 0.4791 0.7500 0.5917
Mg7 0.5209 0.2500 0.4083
Mg8 0.6699 0.0596 0.8883
Mg9 0.6699 0.4404 0.8883
Mg10 0.8301 0.5596 0.3883
Mg11 0.8301 0.9404 0.3883
Mg12 0.9791 0.7500 0.9083
Au1 0.1295 0.7500 0.4238
Au2 0.3705 0.2500 0.9238
Au3 0.6295 0.7500 0.0762
Au4 0.8705 0.2500 0.5762

Principal peaks in the range 2θ = 10–80°, sorted by position:
d 4.479, intensity 41; d 4.354, intensity 67; d 4.186, intensity 75; d 3.863, intensity 100; d 3.473, intensity 85; d 2.399, intensity 44; d 2.349, intensity 52; d 2.253, intensity 47